# 1
The following is a simulated X-ray powder pattern of ZnCo2. It was derived from a cell relaxed with PBE, using CuKα.
Intensities are scaled so that the largest is 100.

Structural model:
```
ZnCo2
1.0
2.5695 0.0000 0.0000
-1.2848 2.2253 0.0000
0.0000 0.0000 6.2071
Zn Co
1 2
direct
0.0000 0.0000 0.0000
0.3333 0.6667 0.6533
0.6667 0.3333 0.3467
```

Top 11 peaks for 2θ = 10–90°, in order of falling intensity:
d [Å]	intensity
2.095	100
1.808	60
2.069	31
1.091	20
1.285	18
1.273	17
1.095	11
3.104	2
1.515	1
1.187	1
1.241	1

# 2
The following is a simulated X-ray powder pattern of Zn3Co. It was derived from a cell relaxed with PBE, using CuKα.
Intensities are scaled so that the largest is 100.

Structural model:
```
Zn3Co
1.0
3.7338 0.0000 0.0000
0.0000 3.7338 0.0000
0.0000 0.0000 3.7338
Zn Co
3 1
direct
0.0000 0.0000 0.5000
0.0000 0.5000 0.0000
0.5000 0.0000 0.0000
0.5000 0.5000 0.5000
```

Top 4 peaks for 2θ = 10–90°, in order of falling intensity:
d [Å]	intensity
2.156	100
1.867	47
1.126	33
1.320	28

# 3
The following is a simulated X-ray powder pattern of ZnCo. It was derived from a cell relaxed with PBE, using CuKα.
Intensities are scaled so that the largest is 100.

Structural model:
```
ZnCo
1.0
2.6072 0.0000 0.0000
-1.3036 2.2579 0.0000
0.0000 0.0000 4.1717
Zn Co
1 1
direct
0.0000 0.0000 0.0000
0.3333 0.6667 0.5000
```

Top 9 peaks for 2θ = 10–90°, in order of falling intensity:
d [Å]	intensity
1.986	100
2.086	26
2.258	25
1.105	18
1.184	16
1.304	15
1.532	14
1.129	2
4.172	1

# 4
The following is a simulated X-ray powder pattern of ZrZn20Co2. It was derived from a cell relaxed with PBE, using CuKα.
Intensities are scaled so that the largest is 100.

Structural model:
```
ZrZn20Co2
1.0
0.0000 6.9603 6.9603
6.9603 0.0000 6.9603
6.9603 6.9603 0.0000
Zr Zn Co
2 40 4
direct
0.1250 0.1250 0.1250
0.8750 0.8750 0.8750
0.0000 0.0000 0.0000
0.0000 0.0000 0.5000
0.0000 0.5000 0.0000
0.0565 0.3241 0.3241
0.0565 0.3241 0.7952
0.0565 0.7952 0.3241
0.2048 0.6759 0.6759
0.2048 0.6759 0.9435
0.2048 0.9435 0.6759
0.2383 0.2383 0.5117
0.2383 0.5117 0.2383
0.2383 0.5117 0.5117
0.3241 0.0565 0.3241
0.3241 0.0565 0.7952
0.3241 0.3241 0.0565
0.3241 0.3241 0.7952
0.3241 0.7952 0.0565
0.3241 0.7952 0.3241
0.4883 0.4883 0.7617
0.4883 0.7617 0.4883
0.4883 0.7617 0.7617
0.5000 0.0000 0.0000
0.5117 0.2383 0.2383
0.5117 0.2383 0.5117
0.5117 0.5117 0.2383
0.6759 0.2048 0.6759
0.6759 0.2048 0.9435
0.6759 0.6759 0.2048
0.6759 0.6759 0.9435
0.6759 0.9435 0.2048
0.6759 0.9435 0.6759
0.7617 0.4883 0.4883
0.7617 0.4883 0.7617
0.7617 0.7617 0.4883
0.7952 0.0565 0.3241
0.7952 0.3241 0.0565
0.7952 0.3241 0.3241
0.9435 0.2048 0.6759
0.9435 0.6759 0.2048
0.9435 0.6759 0.6759
0.0000 0.5000 0.5000
0.5000 0.0000 0.5000
0.5000 0.5000 0.0000
0.5000 0.5000 0.5000
```

Top 12 peaks for 2θ = 10–90°, in order of falling intensity:
d [Å]	intensity
2.353	100
2.099	81
2.123	76
1.230	44
2.201	40
1.949	32
2.009	25
1.641	23
1.181	19
1.340	18
2.320	18
1.399	16

# 5
The following is a simulated X-ray powder pattern of ZrCo2. It was derived from a cell relaxed with PBE, using CuKα.
Intensities are scaled so that the largest is 100.

Structural model:
```
ZrCo2
1.0
0.0000 3.4545 3.4545
3.4545 0.0000 3.4545
3.4545 3.4545 0.0000
Zr Co
2 4
direct
0.1250 0.1250 0.1250
0.8750 0.8750 0.8750
0.0000 0.5000 0.5000
0.5000 0.0000 0.5000
0.5000 0.5000 0.0000
0.5000 0.5000 0.5000
```

Top 8 peaks for 2θ = 10–90°, in order of falling intensity:
d [Å]	intensity
2.083	100
2.443	43
1.330	29
1.994	27
1.221	23
1.410	15
1.092	6
1.727	1

# 6
The following is a simulated X-ray powder pattern of Zr4Co. It was derived from a cell relaxed with PBE, using CuKα.
Intensities are scaled so that the largest is 100.

Structural model:
```
Zr4Co
1.0
0.0000 4.8633 4.8633
4.8633 0.0000 4.8633
4.8633 4.8633 0.0000
Zr Co
8 2
direct
0.2083 0.7639 0.7639
0.2361 0.2361 0.2361
0.2361 0.2361 0.7917
0.2361 0.7917 0.2361
0.7639 0.2083 0.7639
0.7639 0.7639 0.2083
0.7639 0.7639 0.7639
0.7917 0.2361 0.2361
0.3750 0.3750 0.3750
0.6250 0.6250 0.6250
```

Top 12 peaks for 2θ = 10–90°, in order of falling intensity:
d [Å]	intensity
2.808	100
1.719	40
2.432	33
1.466	30
1.872	18
2.231	18
3.439	11
1.116	10
1.188	8
1.362	7
1.266	6
1.404	5

# 7
The following is a simulated X-ray powder pattern of Cr. It was derived from a cell relaxed with PBE, using CuKα.
Intensities are scaled so that the largest is 100.

Structural model:
```
Cr
1.0
8.5995 0.0000 0.0000
0.0000 8.5995 0.0000
0.0000 0.0000 4.5564
Cr
28
direct
0.0346 0.3738 0.0000
0.0550 0.2443 0.5000
0.1029 0.1029 0.0000
0.1262 0.5346 0.5000
0.1872 0.8128 0.2458
0.1872 0.8128 0.7542
0.2443 0.0550 0.5000
0.2557 0.5550 0.0000
0.3128 0.3128 0.2542
0.3128 0.3128 0.7458
0.3738 0.0346 0.0000
0.3971 0.6029 0.5000
0.4450 0.7443 0.0000
0.4654 0.8738 0.5000
0.5346 0.1262 0.5000
0.5550 0.2557 0.0000
0.6029 0.3971 0.5000
0.6262 0.9654 0.0000
0.6872 0.6872 0.2542
0.6872 0.6872 0.7458
0.7443 0.4450 0.0000
0.7557 0.9450 0.5000
0.8128 0.1872 0.2458
0.8128 0.1872 0.7542
0.8738 0.4654 0.5000
0.8971 0.8971 0.0000
0.9450 0.7557 0.5000
0.9654 0.6262 0.0000
```

Top 12 peaks for 2θ = 10–90°, in order of falling intensity:
d [Å]	intensity
1.896	100
2.086	99
1.960	84
1.852	58
2.013	36
1.823	29
2.027	28
2.278	22
2.113	21
1.238	21
1.216	20
1.228	20

# 8
The following is a simulated X-ray powder pattern of Cr. It was derived from a cell relaxed with PBE, using CuKα.
Intensities are scaled so that the largest is 100.

Structural model:
```
Cr
1.0
2.8740 0.0000 0.0000
0.0000 2.8740 0.0000
0.0000 0.0000 2.8740
Cr
2
direct
0.0000 0.0000 0.0000
0.5000 0.5000 0.5000
```

Top 3 peaks for 2θ = 10–90°, in order of falling intensity:
d [Å]	intensity
2.032	100
1.173	27
1.437	14

# 9
The following is a simulated X-ray powder pattern of Cr. It was derived from a cell relaxed with PBE, using CuKα.
Intensities are scaled so that the largest is 100.

Structural model:
```
Cr
1.0
3.6244 0.0000 0.0000
0.0000 3.6244 0.0000
0.0000 0.0000 3.6244
Cr
4
direct
0.0000 0.0000 0.0000
0.0000 0.5000 0.5000
0.5000 0.0000 0.5000
0.5000 0.5000 0.0000
```

Top 4 peaks for 2θ = 10–90°, in order of falling intensity:
d [Å]	intensity
2.093	100
1.812	46
1.093	30
1.281	25

# 10
The following is a simulated X-ray powder pattern of Cr. It was derived from a cell relaxed with PBE, using CuKα.
Intensities are scaled so that the largest is 100.

Structural model:
```
Cr
1.0
2.2747 0.0000 0.0000
0.0000 4.8982 0.0000
0.0000 0.0000 4.2368
Cr
4
direct
0.0000 0.1393 0.2500
0.0000 0.8607 0.7500
0.5000 0.3607 0.7500
0.5000 0.6393 0.2500
```

Top 12 peaks for 2θ = 10–90°, in order of falling intensity:
d [Å]	intensity
2.120	100
1.855	51
2.063	26
1.478	15
1.224	13
1.124	11
1.326	9
1.165	9
1.266	5
1.137	4
2.449	2
1.176	1

# 11
The following is a simulated X-ray powder pattern of Cr. It was derived from a cell relaxed with PBE, using CuKα.
Intensities are scaled so that the largest is 100.

Structural model:
```
Cr
1.0
2.4906 0.0000 0.0000
-1.2453 2.1570 0.0000
0.0000 0.0000 4.4496
Cr
2
direct
0.3333 0.6667 0.2500
0.6667 0.3333 0.7500
```

Top 7 peaks for 2θ = 10–90°, in order of falling intensity:
d [Å]	intensity
1.941	100
2.225	35
2.157	24
1.222	18
1.549	15
1.245	13
1.112	3

# 12
The following is a simulated X-ray powder pattern of Cr. It was derived from a cell relaxed with PBE, using CuKα.
Intensities are scaled so that the largest is 100.

Structural model:
```
Cr
1.0
4.5465 0.0000 0.0000
0.0000 4.5465 0.0000
0.0000 0.0000 4.5465
Cr
8
direct
0.0000 0.0000 0.0000
0.0000 0.2500 0.5000
0.0000 0.7500 0.5000
0.2500 0.5000 0.0000
0.5000 0.0000 0.2500
0.5000 0.0000 0.7500
0.5000 0.5000 0.5000
0.7500 0.5000 0.0000
```

Top 7 peaks for 2θ = 10–90°, in order of falling intensity:
d [Å]	intensity
2.033	100
1.856	73
2.273	36
1.215	31
1.261	18
1.137	12
1.312	7

# 13
The following is a simulated X-ray powder pattern of CsCrI3. It was derived from a cell relaxed with PBE, using CuKα.
Intensities are scaled so that the largest is 100.

Structural model:
```
CsCrI3
1.0
11.0192 0.0000 0.0000
0.0000 16.4946 0.0000
0.0000 0.0000 6.8259
Cs Cr I
4 4 12
direct
0.0000 0.1253 0.2500
0.0000 0.8747 0.7500
0.5000 0.3747 0.7500
0.5000 0.6253 0.2500
0.0000 0.5000 0.0000
0.0000 0.5000 0.5000
0.5000 0.0000 0.0000
0.5000 0.0000 0.5000
0.0000 0.3760 0.2500
0.0000 0.6240 0.7500
0.1577 0.0896 0.7489
0.1577 0.9104 0.2489
0.3423 0.4104 0.2489
0.3423 0.5896 0.7489
0.5000 0.1240 0.7500
0.5000 0.8760 0.2500
0.6577 0.4104 0.2511
0.6577 0.5896 0.7511
0.8423 0.0896 0.7511
0.8423 0.9104 0.2511
```

Top 12 peaks for 2θ = 10–90°, in order of falling intensity:
d [Å]	intensity
2.788	100
3.174	76
5.258	67
2.629	51
8.247	50
4.124	49
3.413	48
3.585	37
5.474	33
5.510	33
1.904	30
2.868	29

# 14
The following is a simulated X-ray powder pattern of CsCrI3. It was derived from a cell relaxed with PBE, using CuKα.
Intensities are scaled so that the largest is 100.

Structural model:
```
CsCrI3
1.0
8.2588 0.0000 0.0000
-4.1294 7.1524 0.0000
0.0000 0.0000 6.9199
Cs Cr I
2 2 6
direct
0.3333 0.6667 0.2500
0.6667 0.3333 0.7500
0.0000 0.0000 0.0000
0.0000 0.0000 0.5000
0.1607 0.3213 0.7500
0.1607 0.8393 0.7500
0.3213 0.1607 0.2500
0.6787 0.8393 0.7500
0.8393 0.1607 0.2500
0.8393 0.6787 0.2500
```

Top 12 peaks for 2θ = 10–90°, in order of falling intensity:
d [Å]	intensity
3.177	100
2.487	25
1.326	24
1.938	24
2.065	23
3.460	22
1.731	21
1.773	19
3.576	14
7.152	9
1.166	9
1.413	8